Entry 1:
# Ce3PuSi
Calculated powder diffractogram, Cu Kα X-rays. Input: a cell relaxed with PBE.

The 10 most intense peaks (15 to 90 degrees two-theta), by angle:
d [Å]	I_rel
4.316	11
3.111	11
2.841	44
2.584	100
1.944	17
1.912	55
1.730	11
1.604	15
1.477	11
1.245	17

Structural model:
```
Ce3PuSi
1.0
7.776 0.000 0.000
0.000 2.841 0.000
0.000 0.000 10.379
Ce Pu Si
6 2 2
direct
0.000 0.000 0.000
0.015 0.000 0.341
0.485 0.000 0.341
0.500 0.000 0.000
0.515 0.000 0.659
0.985 0.000 0.659
0.250 0.000 0.180
0.750 0.000 0.820
0.250 0.500 0.817
0.750 0.500 0.183
```


Entry 2:
# PmPrDy5Er2
Calculated powder diffractogram, Cu Kα X-rays. Input: a cell relaxed with PBE.

The 10 most intense peaks (15 to 90 degrees two-theta), by angle:
d [Å]	I_rel
3.164	19
2.955	41
2.810	43
2.768	100
2.646	11
2.101	12
1.784	12
1.614	22
1.547	15
1.506	13

Structural model:
```
PmPrDy5Er2
1.0
2.810 -9.947 0.000
2.810 9.947 0.000
0.000 0.000 10.583
Pm Pr Dy Er
2 2 10 4
direct
0.201 0.799 0.500
0.799 0.201 0.000
0.417 0.583 0.936
0.583 0.417 0.436
0.017 0.983 0.514
0.281 0.719 0.798
0.299 0.701 0.197
0.390 0.610 0.511
0.478 0.522 0.223
0.522 0.478 0.723
0.610 0.390 0.011
0.701 0.299 0.697
0.719 0.281 0.298
0.983 0.017 0.014
0.111 0.889 0.222
0.114 0.886 0.808
0.886 0.114 0.308
0.889 0.111 0.722
```


Entry 3:
# Nb3InH
Calculated powder diffractogram, Cu Kα X-rays. Input: a cell relaxed with PBE.

The 10 most intense peaks (15 to 90 degrees two-theta), by angle:
d [Å]	I_rel
2.435	100
2.378	24
2.340	21
1.781	10
1.668	15
1.426	9
1.384	16
1.369	13
1.218	5
1.217	5

Structural model:
```
Nb3InH
1.0
5.005 -2.378 0.000
5.005 2.378 0.000
-2.525 0.000 6.662
Nb In H
6 2 2
direct
0.000 0.000 0.000
0.223 0.245 0.857
0.234 0.234 0.375
0.755 0.777 0.143
0.766 0.766 0.625
0.995 0.005 0.500
0.494 0.505 0.252
0.495 0.506 0.748
0.070 0.322 0.099
0.678 0.930 0.901
```


Entry 4:
# SrGa3Sb3
Calculated powder diffractogram, Cu Kα X-rays. Input: a cell relaxed with PBE.

The 10 most intense peaks (15 to 90 degrees two-theta), by angle:
d [Å]	I_rel
5.426	27
3.837	42
3.133	100
2.215	39
2.051	60
1.918	34
1.716	17
1.401	17
1.357	21
1.245	17

Structural model:
```
SrGa3Sb3
1.0
7.674 0.000 0.000
0.000 7.674 0.000
0.000 0.000 7.674
Sr Ga Sb
2 6 6
direct
0.000 0.000 0.000
0.500 0.500 0.500
0.000 0.250 0.500
0.000 0.750 0.500
0.250 0.500 0.000
0.500 0.000 0.250
0.500 0.000 0.750
0.750 0.500 0.000
0.000 0.500 0.250
0.000 0.500 0.750
0.250 0.000 0.500
0.500 0.250 0.000
0.500 0.750 0.000
0.750 0.000 0.500
```


Entry 5:
# Ba5Bi2N
Calculated powder diffractogram, Cu Kα X-rays. Input: a cell relaxed with PBE.

The 10 most intense peaks (15 to 90 degrees two-theta), by angle:
d [Å]	I_rel
4.268	63
3.634	40
3.409	100
3.095	96
2.749	64
2.662	45
2.548	30
2.476	38
2.291	83
1.736	34

Structural model:
```
Ba5Bi2N
1.0
3.409 -7.783 0.000
3.409 7.783 0.000
0.000 0.000 15.311
Ba Bi N
10 4 2
direct
0.060 0.940 0.628
0.060 0.940 0.872
0.296 0.704 0.250
0.307 0.693 0.615
0.307 0.693 0.885
0.693 0.307 0.115
0.693 0.307 0.385
0.704 0.296 0.750
0.940 0.060 0.128
0.940 0.060 0.372
0.162 0.838 0.071
0.162 0.838 0.429
0.838 0.162 0.571
0.838 0.162 0.929
0.184 0.816 0.750
0.816 0.184 0.250
```


Entry 6:
# Na2Cr2B
Calculated powder diffractogram, Cu Kα X-rays. Input: a cell relaxed with PBE.

The 10 most intense peaks (15 to 90 degrees two-theta), by angle:
d [Å]	I_rel
4.708	87
3.139	92
2.394	25
2.354	25
2.135	100
1.988	80
1.604	21
1.550	24
1.429	34
1.390	25

Structural model:
```
Na2Cr2B
1.0
3.101 0.000 0.000
0.000 3.101 0.000
0.000 0.000 18.834
Na Cr B
4 4 2
direct
0.000 0.000 0.094
0.000 0.000 0.906
0.500 0.500 0.406
0.500 0.500 0.594
0.000 0.500 0.250
0.000 0.500 0.750
0.500 0.000 0.250
0.500 0.000 0.750
0.000 0.000 0.500
0.500 0.500 0.000
```